Diffraction record for Tb3Rh2. The powder diffractogram is computed, not measured: it uses DFT lattice parameters and positions (GGA-PBE) and λ = 1.5418 Å (Cu Kα).

Top 12 peaks for 10 to 90 degrees two-theta, sorted by position:
- (0 1 2), 2θ = 17.61°, d 5.037, I = 104
- (0 0 6), 2θ = 27.81°, d 3.208, I = 83
- (1 1 3), 2θ = 29.65°, d 3.013, I = 1000
- (1 1 6), 2θ = 38.52°, d 2.337, I = 587
- (3 0 0), 2θ = 46.07°, d 1.970, I = 411
- (1 1 9), 2θ = 50.35°, d 1.812, I = 231
- (2 2 3), 2θ = 55.74°, d 1.649, I = 164
- (2 2 6), 2θ = 61.56°, d 1.507, I = 146
- (4 1 3), 2θ = 75.13°, d 1.265, I = 130
- (3 0 12), 2θ = 76.60°, d 1.244, I = 172
- (4 1 6), 2θ = 80.21°, d 1.197, I = 133
- (4 1 9), 2θ = 88.53°, d 1.105, I = 88

Atomic structure:
Unit cell a=6.8253 b=6.8253 c=19.2480 alpha=90.00 beta=90.00 gamma=120.00
Space group R-3c (No. 167, hexagonal axes)
Asymmetric unit:
Tb 0.0000 0.3466 0.2500 [18 per cell]
Rh 0.0000 0.0000 0.1722 [12 per cell]

Diffraction record for Tb4Pm3Te8. The powder diffractogram is computed, not measured: it uses DFT lattice parameters and positions (GGA-PBE) and λ = 1.5418 Å (Cu Kα).

Top 12 peaks for 10 to 90 degrees two-theta, sorted by position:
- (1 1 0), 2θ = 12.31°, d 7.189, I = 45
- (3 1 -2), 2θ = 23.70°, d 3.754, I = 40
- (0 4 0), 2θ = 28.68°, d 3.112, I = 1000
- (4 0 0), 2θ = 41.01°, d 2.201, I = 760
- (4 4 0), 2θ = 50.81°, d 1.797, I = 271
- (0 8 0), 2θ = 59.39°, d 1.556, I = 127
- (4 0 2), 2θ = 67.26°, d 1.392, I = 319
- (8 0 -6), 2θ = 67.32°, d 1.391, I = 29
- (4 4 2), 2θ = 74.69°, d 1.271, I = 214
- (8 4 -6), 2θ = 74.76°, d 1.270, I = 42
- (8 0 0), 2θ = 88.90°, d 1.101, I = 42
- (8 8 -4), 2θ = 88.99°, d 1.100, I = 42

Atomic structure:
Unit cell a=12.4447 b=12.4495 c=8.7974 alpha=90.00 beta=134.94 gamma=90.00
Space group C2/m (No. 12)
Asymmetric unit:
Tb 0.0000 0.0000 0.0000 [2 per cell]
Tb 0.0000 0.0000 0.5000 [2 per cell]
Tb 0.2500 0.2500 0.0000 [4 per cell]
Pm 0.0000 0.5000 0.5000 [2 per cell]
Pm 0.2500 0.2500 0.5000 [4 per cell]
Te 0.0000 0.2475 0.5000 [4 per cell]
Te 0.0000 0.2537 0.0000 [4 per cell]
Te 0.2486 0.5000 0.0049 [4 per cell]
Te 0.2490 0.5000 0.4929 [4 per cell]

Diffraction record for AcPrWN4. The powder diffractogram is computed, not measured: it uses DFT lattice parameters and positions (GGA-PBE) and λ = 1.5418 Å (Cu Kα).

Top 12 peaks for 10 to 90 degrees two-theta, sorted by position:
- (0 0 2), 2θ = 13.49°, d 6.563, I = 94
- (1 0 3), 2θ = 30.26°, d 2.953, I = 1000
- (1 1 0), 2θ = 31.61°, d 2.830, I = 554
- (1 0 5), 2θ = 41.12°, d 2.195, I = 104
- (0 0 6), 2θ = 41.27°, d 2.188, I = 108
- (2 0 0), 2θ = 45.31°, d 2.001, I = 246
- (1 1 6), 2θ = 52.90°, d 1.731, I = 172
- (2 1 3), 2θ = 55.46°, d 1.657, I = 383
- (2 0 6), 2θ = 62.94°, d 1.477, I = 121
- (3 0 3), 2θ = 74.32°, d 1.276, I = 82
- (3 1 0), 2θ = 75.04°, d 1.266, I = 95
- (3 1 6), 2θ = 89.44°, d 1.096, I = 83

Atomic structure:
Unit cell a=4.0028 b=4.0028 c=13.1252 alpha=90.00 beta=90.00 gamma=90.00
Space group I4mm (No. 107)
Asymmetric unit:
Ac 0.0000 0.0000 0.0000 [2 per cell]
Pr 0.0000 0.0000 0.7090 [2 per cell]
W 0.0000 0.0000 0.3452 [2 per cell]
N 0.0000 0.0000 0.1969 [2 per cell]
N 0.0000 0.0000 0.5263 [2 per cell]
N 0.0000 0.5000 0.3538 [4 per cell]

Diffraction record for Li2AgAuO4. The powder diffractogram is computed, not measured: it uses DFT lattice parameters and positions (GGA-PBE) and λ = 1.5418 Å (Cu Kα).

Top 12 peaks for 10 to 90 degrees two-theta, sorted by position:
- (1 0 1), 2θ = 22.48°, d 3.955, I = 162
- (1 1 0), 2θ = 23.16°, d 3.840, I = 1000
- (0 0 2), 2θ = 30.99°, d 2.886, I = 144
- (2 0 0), 2θ = 32.99°, d 2.716, I = 293
- (1 1 2), 2θ = 39.04°, d 2.307, I = 597
- (2 0 2), 2θ = 45.89°, d 1.978, I = 476
- (2 2 0), 2θ = 47.34°, d 1.920, I = 241
- (3 1 0), 2θ = 53.34°, d 1.717, I = 210
- (2 2 2), 2θ = 57.66°, d 1.599, I = 111
- (3 1 2), 2θ = 62.98°, d 1.476, I = 289
- (4 2 2), 2θ = 87.06°, d 1.119, I = 143
- (3 1 4), 2θ = 88.51°, d 1.105, I = 106

Atomic structure:
Unit cell a=5.4311 b=5.4311 c=5.7713 alpha=90.00 beta=90.00 gamma=90.00
Space group I4/mmm (No. 139)
Asymmetric unit:
Li 0.0000 0.5000 0.2500 [4 per cell]
Ag 0.0000 0.0000 0.0000 [2 per cell]
Au 0.0000 0.0000 0.5000 [2 per cell]
O 0.2500 0.2500 0.2500 [8 per cell]

Diffraction record for Pr2P2N5. The powder diffractogram is computed, not measured: it uses DFT lattice parameters and positions (GGA-PBE) and λ = 1.5418 Å (Cu Kα).

Top 12 peaks for 10 to 90 degrees two-theta, sorted by position:
- (0 1 1), 2θ = 22.73°, d 3.912, I = 489
- (4 0 0), 2θ = 23.12°, d 3.847, I = 206
- (0 2 0), 2θ = 31.21°, d 2.866, I = 273
- (4 1 1), 2θ = 32.65°, d 2.743, I = 1000
- (0 0 2), 2θ = 33.49°, d 2.676, I = 266
- (4 2 0), 2θ = 39.20°, d 2.298, I = 219
- (4 0 2), 2θ = 41.09°, d 2.197, I = 200
- (0 2 2), 2θ = 46.43°, d 1.956, I = 254
- (4 2 2), 2θ = 52.49°, d 1.743, I = 117
- (4 3 1), 2θ = 56.46°, d 1.630, I = 177
- (4 1 3), 2θ = 59.33°, d 1.558, I = 179
- (8 2 2), 2θ = 68.41°, d 1.371, I = 108

Atomic structure:
Unit cell a=15.3863 b=5.7310 c=5.3523 alpha=90.00 beta=90.00 gamma=90.00
Space group Ima2 (No. 46)
Asymmetric unit:
Pr 0.1143 0.0178 0.0000 [8 per cell]
P 0.0000 0.0000 0.4647 [4 per cell]
P 0.2500 0.5776 0.9913 [4 per cell]
N 0.0066 0.7290 0.7824 [8 per cell]
N 0.1595 0.0642 0.5250 [8 per cell]
N 0.2500 0.6872 0.6902 [4 per cell]

Diffraction record for TlAgSb. The powder diffractogram is computed, not measured: it uses DFT lattice parameters and positions (GGA-PBE) and λ = 1.5418 Å (Cu Kα).

Top 12 peaks for 10 to 90 degrees two-theta, sorted by position:
- (1 1 1), 2θ = 23.87°, d 3.727, I = 202
- (2 0 1), 2θ = 28.07°, d 3.179, I = 708
- (2 2 0), 2θ = 29.34°, d 3.045, I = 369
- (1 2 1), 2θ = 29.96°, d 2.982, I = 948
- (1 3 0), 2θ = 32.89°, d 2.723, I = 707
- (2 2 1), 2θ = 35.09°, d 2.557, I = 406
- (0 0 2), 2θ = 38.18°, d 2.357, I = 1000
- (4 1 0), 2θ = 43.32°, d 2.089, I = 184
- (3 3 1), 2θ = 48.86°, d 1.864, I = 382
- (1 3 2), 2θ = 51.26°, d 1.782, I = 434
- (1 5 1), 2θ = 58.01°, d 1.590, I = 179
- (4 1 2), 2θ = 59.10°, d 1.563, I = 145

Atomic structure:
Unit cell a=8.6112 b=8.6112 c=4.7136 alpha=90.00 beta=90.00 gamma=90.00
Space group P4_2/m (No. 84)
Asymmetric unit:
Tl 0.0698 0.2673 0.0000 [4 per cell]
Ag 0.3455 0.5711 0.0000 [4 per cell]
Sb 0.1649 0.5551 0.5000 [4 per cell]

Diffraction record for Ho3Al4Ga2. The powder diffractogram is computed, not measured: it uses DFT lattice parameters and positions (GGA-PBE) and λ = 1.5418 Å (Cu Kα).

Top 12 peaks for 10 to 90 degrees two-theta, sorted by position:
- (1 1 -1), 2θ = 22.92°, d 3.881, I = 472
- (3 1 0), 2θ = 34.34°, d 2.611, I = 1000
- (0 2 0), 2θ = 40.25°, d 2.240, I = 470
- (2 2 1), 2θ = 48.10°, d 1.892, I = 58
- (4 0 2), 2θ = 51.80°, d 1.765, I = 74
- (0 2 3), 2θ = 53.92°, d 1.700, I = 274
- (3 1 3), 2θ = 57.35°, d 1.607, I = 82
- (1 3 -1), 2θ = 63.42°, d 1.467, I = 58
- (4 2 2), 2θ = 67.57°, d 1.386, I = 197
- (3 3 0), 2θ = 69.39°, d 1.354, I = 254
- (3 3 -3), 2θ = 73.18°, d 1.293, I = 53
- (4 0 5), 2θ = 86.42°, d 1.126, I = 71

Atomic structure:
Unit cell a=10.4964 b=4.4788 c=8.5284 alpha=90.00 beta=113.29 gamma=90.00
Space group C2/m (No. 12)
Asymmetric unit:
Ho 0.0000 0.0000 0.0000 [2 per cell]
Ho 0.1701 0.5000 0.6623 [4 per cell]
Al 0.0439 0.0000 0.3772 [4 per cell]
Al 0.2307 0.5000 0.0651 [4 per cell]
Ga 0.1103 0.5000 0.2775 [4 per cell]

Diffraction record for Ac6Sm2Er. The powder diffractogram is computed, not measured: it uses DFT lattice parameters and positions (GGA-PBE) and λ = 1.5418 Å (Cu Kα).

Top 12 peaks for 10 to 90 degrees two-theta, sorted by position:
- (2 0 -2), 2θ = 28.79°, d 3.101, I = 339
- (5 1 1), 2θ = 29.09°, d 3.070, I = 610
- (1 3 -1), 2θ = 29.24°, d 3.055, I = 1000
- (4 2 2), 2θ = 41.49°, d 2.176, I = 241
- (6 4 0), 2θ = 41.93°, d 2.155, I = 111
- (3 1 3), 2θ = 51.19°, d 1.784, I = 120
- (3 3 -3), 2θ = 51.29°, d 1.781, I = 131
- (4 4 2), 2θ = 51.66°, d 1.769, I = 120
- (5 5 1), 2θ = 51.93°, d 1.761, I = 138
- (10 0 2), 2θ = 57.42°, d 1.605, I = 100
- (11 3 1), 2θ = 57.68°, d 1.598, I = 207
- (9 3 3), 2θ = 73.29°, d 1.292, I = 91

Atomic structure:
Unit cell a=23.3350 b=10.5293 c=6.2026 alpha=90.00 beta=105.34 gamma=90.00
Space group C2/c (No. 15)
Asymmetric unit:
Ac 0.0827 0.0817 0.3061 [8 per cell]
Ac 0.0828 0.4182 0.3594 [8 per cell]
Ac 0.1685 0.2500 0.9186 [8 per cell]
Sm 0.2500 0.0822 0.5101 [8 per cell]
Er 0.0000 0.2501 0.7500 [4 per cell]